The following is a theoretical X-ray powder pattern of Zn2Pd3Pt4. It was derived from a GGA-PBE-relaxed structure, using Cu Kα (λ = 1.5418 Å).
Peak positions follow from Bragg's law for the DFT cell and can differ from measured ones.

Principal peaks in the range 2θ from 10° to 90°, sorted by position:
d_spacing, Position (°2θ), I/Imax
6.227, 14.22, 16
2.354, 38.23, 53
2.292, 39.32, 100
2.147, 42.09, 82
1.888, 48.21, 55
1.473, 63.14, 24

Cell and atoms:
```
Zn2Pd3Pt4
1.0
6.3128 -4.7080 0.0000
6.3128 4.7080 0.0000
-0.7751 0.0000 4.6601
Zn Pd Pt
4 6 8
Direct
0.1026 0.3438 0.3557
0.3438 0.1026 0.8557
0.6562 0.8974 0.1443
0.8974 0.6562 0.6443
0.1314 0.8686 0.7500
0.1958 0.4655 0.9110
0.4655 0.1958 0.4110
0.5345 0.8042 0.5890
0.8042 0.5345 0.0890
0.8686 0.1314 0.2500
0.0063 0.7697 0.2053
0.2303 0.9937 0.2947
0.3205 0.5639 0.4667
0.4361 0.6795 0.0333
0.5639 0.3205 0.9667
0.6795 0.4361 0.5333
0.7697 0.0063 0.7053
0.9937 0.2303 0.7947
```

---

The following is a theoretical X-ray powder pattern of Y2AlCo2. It was derived from a GGA-PBE-relaxed structure, using Cu Kα (λ = 1.5418 Å).
Peak positions follow from Bragg's law for the DFT cell and can differ from measured ones.

Principal peaks in the range 2θ from 10° to 90°, sorted by position:
d_spacing, Position (°2θ), I/Imax
2.573, 34.87, 63
2.541, 35.33, 73
2.305, 39.08, 100
2.291, 39.34, 54
2.278, 39.55, 96
2.147, 42.08, 66

Cell and atoms:
```
Y2AlCo2
1.0
4.7189 -2.7095 0.0000
4.7189 2.7095 0.0000
-1.8086 0.0000 7.3162
Y Al Co
4 2 4
Direct
0.9997 0.2928 0.1460
0.0003 0.7072 0.8540
0.2928 0.9997 0.6460
0.7072 0.0003 0.3540
0.3767 0.6233 0.2500
0.6233 0.3767 0.7500
0.2107 0.5039 0.4949
0.4961 0.7893 0.0051
0.5039 0.2107 0.9949
0.7893 0.4961 0.5051
```

---

The following is a theoretical X-ray powder pattern of Er19Tm4Th6. It was derived from a GGA-PBE-relaxed structure, using Cu Kα (λ = 1.5418 Å).
Peak positions follow from Bragg's law for the DFT cell and can differ from measured ones.

Principal peaks in the range 2θ from 10° to 90°, sorted by position:
d_spacing, Position (°2θ), I/Imax
2.835, 31.55, 76
2.769, 32.34, 52
2.758, 32.46, 100
2.636, 34.01, 44
2.622, 34.20, 86
1.767, 51.72, 38

Cell and atoms:
```
Er19Tm4Th6
1.0
9.3622 0.0000 0.0000
-2.0436 9.8580 0.0000
-3.2762 -4.0075 9.9869
Er Tm Th
19 4 6
Direct
0.0000 0.0000 0.0000
0.0144 0.6249 0.2885
0.1007 0.3027 0.3046
0.1172 0.9285 0.5911
0.1799 0.9811 0.3121
0.2754 0.2821 0.6124
0.2978 0.9086 0.8988
0.3233 0.5263 0.1894
0.3760 0.5858 0.9114
0.4036 0.2046 0.1998
0.4203 0.8268 0.4874
0.4988 0.5048 0.5035
0.5167 0.1274 0.7862
0.5985 0.8053 0.7997
0.6761 0.4834 0.8109
0.7979 0.4041 0.4014
0.8208 0.0276 0.6906
0.8746 0.0838 0.4094
0.9747 0.3870 0.7116
0.1954 0.6051 0.5989
0.2269 0.2326 0.8896
0.5738 0.1798 0.5112
0.7773 0.7896 0.1111
0.0790 0.6815 0.0093
0.4764 0.8813 0.2081
0.6219 0.4334 0.0924
0.7001 0.1148 0.0964
0.7213 0.7249 0.3894
0.8988 0.7051 0.7042
```

---

The following is a theoretical X-ray powder pattern of ErGa7Cu5. It was derived from a GGA-PBE-relaxed structure, using Cu Kα (λ = 1.5418 Å).
Peak positions follow from Bragg's law for the DFT cell and can differ from measured ones.

Principal peaks in the range 2θ from 10° to 90°, sorted by position:
d_spacing, Position (°2θ), I/Imax
2.570, 34.91, 55
2.244, 40.18, 60
2.225, 40.54, 56
2.205, 40.93, 100
2.182, 41.38, 58
1.989, 45.61, 56

Cell and atoms:
```
ErGa7Cu5
1.0
-2.6027 4.4332 4.2905
2.6027 -4.4332 4.2905
2.6027 4.4332 -4.2905
Er Ga Cu
1 7 5
Direct
0.0000 0.0000 0.0000
0.1845 0.4904 0.6941
0.2293 0.7293 0.5000
0.3500 0.0068 0.3431
0.3517 0.3517 0.0000
0.6535 0.6535 0.0000
0.6637 0.0068 0.6569
0.7963 0.4904 0.3059
0.4947 0.4988 0.5001
0.4947 0.9946 0.9959
0.7666 0.2666 0.5000
0.9987 0.4988 0.0041
0.9987 0.9946 0.4999
```